The following is a calculated X-ray diffraction stick pattern of NaPHO3. It was derived from a structure optimized by DFT (GGA-PBE), using copper Kα.
Lines closer than 0.1° are merged.

Structure:
a b c (Å): 6.577 6.772 9.493
angles (deg): 93.46 102.96 108.00
Positions (direct):
Na (0.061, 0.169, 0.370)
Na (0.264, 0.428, 0.125)
Na (0.736, 0.572, 0.875)
Na (0.939, 0.831, 0.630)
P (0.257, 0.737, 0.408)
P (0.483, 0.894, 0.718)
P (0.517, 0.106, 0.282)
P (0.743, 0.263, 0.592)
H (0.157, 0.756, 0.004)
H (0.309, 0.338, 0.847)
H (0.691, 0.662, 0.153)
H (0.843, 0.244, 0.996)
O (0.094, 0.846, 0.422)
O (0.178, 0.521, 0.324)
O (0.292, 0.881, 0.782)
O (0.312, 0.139, 0.195)
O (0.405, 0.728, 0.568)
O (0.450, 0.876, 0.338)
O (0.550, 0.124, 0.662)
O (0.595, 0.272, 0.432)
O (0.688, 0.861, 0.805)
O (0.708, 0.119, 0.218)
O (0.822, 0.479, 0.676)
O (0.906, 0.154, 0.578)

Largest 8 diffraction maxima, sorted by position, 5 to 70 degrees two-theta:
2θ (°)  I_rel  h k l
9.66  100.0  0 0 1
13.89  14.4  0 1 0
15.35  17.3  1 0 -1
16.52  29.1  1 -1 0
18.03  18.7  0 1 1
19.55  15.1  1 0 1
23.03  22.8  1 1 -1
28.32  16.3  0 2 -1